This entry pairs a crystal structure of AsPbW2 with its calculated powder diffractogram. Radiation: Cu Kα X-rays. Structure: the GGA-PBE geometry in Alexandria.

Top 10 peaks for 2θ from 5° to 70°, by angle:
hkl 0 0 1, 2θ 11.03, d 8.019, I 47; hkl 0 0 2, 2θ 22.17, d 4.009, I 9; hkl 1 0 1, 2θ 29.84, d 2.994, I 9; hkl 1 0 2, 2θ 35.71, d 2.514, I 100; hkl 1 1 0, 2θ 39.49, d 2.282, I 53; hkl 1 0 3, 2θ 43.98, d 2.059, I 26; hkl 1 0 4, 2θ 53.83, d 1.703, I 10; hkl 2 0 0, 2θ 57.07, d 1.614, I 18; hkl 1 1 4, 2θ 61.57, d 1.506, I 8; hkl 2 1 2, 2θ 69.18, d 1.358, I 30

Structure:
```
data_AsPbW2
_chemical_formula_sum 'As1 Pb1 W2'
_cell_length_a 3.2275
_cell_length_b 3.2275
_cell_length_c 8.0189
_cell_angle_alpha 90.00
_cell_angle_beta 90.00
_cell_angle_gamma 90.00
_symmetry_space_group_name_H-M 'P 4 m m'
_symmetry_Int_Tables_number 99
_symmetry_space_group_name_Hall 'P 4 -2'
loop_
_atom_site_label
_atom_site_fract_x
_atom_site_fract_y
_atom_site_fract_z
_atom_site_occupancy
As1 0.0000 0.0000 0.0000 1
Pb1 0.5000 0.5000 0.3700 1
W1 0.0000 0.0000 0.6403 1
W2 0.5000 0.5000 0.8160 1
```